For Ba2AlNi3O8, a cell relaxed with GGA+U gives the calculated XRD peak list in this record (Cu Kα).
Intensities are scaled so that the largest is 100.

Structural model:
abc: 3.7946 3.7946 11.8864
angles: 90.00 90.00 90.00
Space group P4/mmm (No. 123)
Unique sites:
Ba 0.0000 0.0000 0.1739 x2
Al 0.0000 0.0000 0.5000 x1
Ni 0.5000 0.5000 0.0000 x1
Ni 0.5000 0.5000 0.3567 x2
O 0.0000 0.5000 0.0000 x2
O 0.0000 0.5000 0.3989 x4
O 0.5000 0.5000 0.1921 x2

The 10 most intense peaks (2θ from 10° to 90°), low angle first:
| d_spacing | I (rel.) | h k l |
| --- | --- | --- |
| 3.615 | 10 | 1 0 1 |
| 3.198 | 14 | 1 0 2 |
| 2.741 | 100 | 1 0 3 |
| 2.683 | 42 | 1 1 0 |
| 2.446 | 10 | 1 1 2 |
| 2.377 | 12 | 0 0 5 |
| 1.897 | 31 | 2 0 0 |
| 1.594 | 20 | 1 1 6 |
| 1.560 | 36 | 2 1 3 |
| 1.370 | 11 | 2 0 6 |

For Ba2AlTlNi2O7, a cell relaxed with GGA+U gives the calculated XRD peak list in this record (Cu Kα).
Intensities are scaled so that the largest is 100.

Structural model:
abc: 3.6836 3.6836 13.1091
angles: 90.00 90.00 90.00
Space group P4/mmm (No. 123)
Unique sites:
Ba 0.0000 0.0000 0.2140 x2
Al 0.0000 0.0000 0.5000 x1
Tl 0.5000 0.5000 0.0000 x1
Ni 0.5000 0.5000 0.3863 x2
O 0.0000 0.0000 0.0000 x1
O 0.0000 0.5000 0.4053 x4
O 0.5000 0.5000 0.1623 x2

The 10 most intense peaks (2θ from 10° to 90°), low angle first:
| d_spacing | I (rel.) | h k l |
| --- | --- | --- |
| 3.211 | 100 | 1 0 2 |
| 2.816 | 77 | 1 0 3 |
| 2.622 | 37 | 0 0 5 |
| 2.605 | 67 | 1 1 0 |
| 1.848 | 33 | 1 1 5 |
| 1.842 | 34 | 2 0 0 |
| 1.669 | 20 | 1 0 7 |
| 1.598 | 27 | 2 1 2 |
| 1.541 | 26 | 2 1 3 |
| 1.507 | 25 | 2 0 5 |

For BaAl2Si3W4O10, a cell relaxed with GGA+U gives the calculated XRD peak list in this record (Cu Kα).
Intensities are scaled so that the largest is 100.

Structural model:
abc: 10.0519 10.1810 6.7173
angles: 90.00 90.00 90.00
Space group P2_12_12 (No. 18)
Unique sites:
Ba 0.0000 0.0000 0.0282 x2
Al 0.1560 0.6084 0.1267 x4
Si 0.0000 0.5000 0.5273 x2
Si 0.1142 0.3422 0.8980 x4
W 0.0948 0.8723 0.5155 x4
W 0.2024 0.1519 0.4503 x4
O 0.0219 0.6929 0.0203 x4
O 0.0710 0.3904 0.6707 x4
O 0.1141 0.5684 0.3840 x4
O 0.1975 0.2044 0.8766 x4
O 0.1998 0.4599 0.0045 x4

The 10 most intense peaks (2θ from 10° to 90°), low angle first:
| d_spacing | I (rel.) | h k l |
| --- | --- | --- |
| 7.153 | 66 | 1 1 0 |
| 6.717 | 100 | 0 0 1 |
| 3.359 | 74 | 0 0 2 |
| 3.040 | 55 | 1 1 2 |
| 2.900 | 76 | 1 3 1 |
| 2.876 | 45 | 3 1 1 |
| 2.799 | 44 | 3 2 0 |
| 2.583 | 56 | 3 2 1 |
| 2.380 | 39 | 0 4 1 |
| 2.150 | 29 | 3 2 2 |

For Ba2AlTlW2O7, a cell relaxed with GGA+U gives the calculated XRD peak list in this record (Cu Kα).
Intensities are scaled so that the largest is 100.

Structural model:
abc: 4.0746 4.0746 13.5864
angles: 90.00 90.00 90.00
Space group P4/mmm (No. 123)
Unique sites:
Ba 0.0000 0.0000 0.1878 x2
Al 0.0000 0.0000 0.5000 x1
Tl 0.5000 0.5000 0.0000 x1
W 0.5000 0.5000 0.3529 x2
O 0.0000 0.0000 0.0000 x1
O 0.0000 0.5000 0.3569 x4
O 0.5000 0.5000 0.2021 x2

The 10 most intense peaks (2θ from 10° to 90°), low angle first:
| d_spacing | I (rel.) | h k l |
| --- | --- | --- |
| 4.529 | 12 | 0 0 3 |
| 4.075 | 15 | 1 0 0 |
| 3.494 | 11 | 1 0 2 |
| 3.029 | 100 | 1 0 3 |
| 2.881 | 53 | 1 1 0 |
| 2.037 | 26 | 2 0 0 |
| 1.977 | 15 | 1 1 5 |
| 1.780 | 16 | 1 1 6 |
| 1.690 | 37 | 2 1 3 |
| 1.515 | 12 | 2 0 6 |